Entry 1:
The following is a simulated PXRD pattern of SiAg2S4. It was derived from a DFT-relaxed cell (GGA-PBE, Alexandria), using Cu Kα, 1.54184 Å.

```
data_SiAg2S4
_chemical_formula_sum 'Si1 Ag2 S4'
_space_group_name_H-M_alt 'P 1'
_space_group_IT_number 1
_cell_length_a 6.597
_cell_length_b 6.597
_cell_length_c 6.667
_cell_angle_alpha 113.72
_cell_angle_beta 113.72
_cell_angle_gamma 30.35
loop_
_space_group_symop_operation_xyz
'x,y,z'
loop_
_atom_site_label
_atom_site_type_symbol
_atom_site_fract_x
_atom_site_fract_y
_atom_site_fract_z
Si1 Si 0.000 0.000 0.000
Ag1 Ag 0.300 0.300 0.311
Ag2 Ag 0.700 0.700 0.689
S1 S 0.113 0.113 0.367
S2 S 0.382 0.382 0.033
S3 S 0.618 0.618 0.967
S4 S 0.887 0.887 0.633
```

Most intense lines, 2θ from 10° to 90°, by intensity:
2theta, I (rel.)
32.33, 100
29.16, 83
15.31, 76
34.86, 53
25.32, 44
42.82, 42
32.69, 42
48.98, 41
28.09, 38
26.93, 33

---

Entry 2:
The following is a simulated PXRD pattern of HPd4Au2. It was derived from a DFT-relaxed cell (GGA-PBE, Alexandria), using Cu Kα, 1.54184 Å.

```
data_HPd4Au2
_chemical_formula_sum 'H2 Pd8 Au4'
_space_group_name_H-M_alt 'P 1'
_space_group_IT_number 1
_cell_length_a 5.565
_cell_length_b 5.717
_cell_length_c 6.835
_cell_angle_alpha 89.95
_cell_angle_beta 74.12
_cell_angle_gamma 75.01
loop_
_space_group_symop_operation_xyz
'x,y,z'
loop_
_atom_site_label
_atom_site_type_symbol
_atom_site_fract_x
_atom_site_fract_y
_atom_site_fract_z
H1 H 0.000 0.000 0.000
H2 H 0.377 0.188 0.019
Pd1 Pd 0.098 0.228 0.543
Pd2 Pd 0.315 0.426 0.822
Pd3 Pd 0.320 0.922 0.818
Pd4 Pd 0.427 0.895 0.211
Pd5 Pd 0.430 0.395 0.210
Pd6 Pd 0.754 0.063 0.872
Pd7 Pd 0.987 0.749 0.158
Pd8 Pd 0.990 0.260 0.159
Au1 Au 0.100 0.728 0.543
Au2 Au 0.648 0.093 0.485
Au3 Au 0.652 0.589 0.487
Au4 Au 0.763 0.559 0.881
```

Most intense lines, 2θ from 10° to 90°, by intensity:
2theta, I (rel.)
41.08, 100
41.18, 66
37.80, 56
36.35, 47
41.31, 32
65.45, 22
80.22, 14
77.94, 14
70.34, 13
78.36, 13

---

Entry 3:
The following is a simulated PXRD pattern of LiH2Se. It was derived from a DFT-relaxed cell (GGA-PBE, Alexandria), using Cu Kα, 1.54184 Å.

```
data_LiH2Se
_chemical_formula_sum 'Li1 H2 Se1'
_space_group_name_H-M_alt 'P 1'
_space_group_IT_number 1
_cell_length_a 3.959
_cell_length_b 3.959
_cell_length_c 3.959
_cell_angle_alpha 122.96
_cell_angle_beta 90.34
_cell_angle_gamma 116.75
loop_
_space_group_symop_operation_xyz
'x,y,z'
loop_
_atom_site_label
_atom_site_type_symbol
_atom_site_fract_x
_atom_site_fract_y
_atom_site_fract_z
Li1 Li 0.000 0.000 0.000
H1 H 0.004 0.504 0.500
H2 H 0.500 0.500 0.000
Se1 Se 0.501 0.001 0.500
```

Most intense lines, 2θ from 10° to 90°, by intensity:
2theta, I (rel.)
32.04, 100
26.76, 85
28.52, 72
45.95, 47
52.93, 25
76.22, 22
55.93, 21
72.72, 16
43.60, 15
55.14, 15

---

Entry 4:
The following is a simulated PXRD pattern of LiAcHg. It was derived from a DFT-relaxed cell (GGA-PBE, Alexandria), using Cu Kα, 1.54184 Å.

```
data_LiAcHg
_chemical_formula_sum 'Li8 Ac8 Hg8'
_space_group_name_H-M_alt 'P 1'
_space_group_IT_number 1
_cell_length_a 5.059
_cell_length_b 15.503
_cell_length_c 8.523
_cell_angle_alpha 90.00
_cell_angle_beta 90.00
_cell_angle_gamma 90.00
loop_
_space_group_symop_operation_xyz
'x,y,z'
loop_
_atom_site_label
_atom_site_type_symbol
_atom_site_fract_x
_atom_site_fract_y
_atom_site_fract_z
Li1 Li 0.250 0.089 0.081
Li2 Li 0.250 0.411 0.081
Li3 Li 0.250 0.649 0.414
Li4 Li 0.250 0.851 0.414
Li5 Li 0.750 0.149 0.586
Li6 Li 0.750 0.351 0.586
Li7 Li 0.750 0.589 0.919
Li8 Li 0.750 0.911 0.919
Ac1 Ac 0.250 0.000 0.710
Ac2 Ac 0.250 0.250 0.793
Ac3 Ac 0.250 0.500 0.710
Ac4 Ac 0.250 0.750 0.785
Ac5 Ac 0.750 0.000 0.290
Ac6 Ac 0.750 0.250 0.215
Ac7 Ac 0.750 0.500 0.290
Ac8 Ac 0.750 0.750 0.207
Hg1 Hg 0.250 0.144 0.417
Hg2 Hg 0.250 0.356 0.417
Hg3 Hg 0.250 0.606 0.084
Hg4 Hg 0.250 0.894 0.084
Hg5 Hg 0.750 0.106 0.916
Hg6 Hg 0.750 0.394 0.916
Hg7 Hg 0.750 0.644 0.583
Hg8 Hg 0.750 0.856 0.583
```

Most intense lines, 2θ from 10° to 90°, by intensity:
2theta, I (rel.)
30.90, 100
36.28, 58
31.19, 43
35.50, 42
21.21, 36
47.96, 27
29.74, 26
26.79, 20
21.63, 20
20.41, 18

---

Entry 5:
The following is a simulated PXRD pattern of Cu7Pt5. It was derived from a DFT-relaxed cell (GGA-PBE, Alexandria), using Cu Kα, 1.54184 Å.

```
data_Cu7Pt5
_chemical_formula_sum 'Cu7 Pt5'
_space_group_name_H-M_alt 'P 1'
_space_group_IT_number 1
_cell_length_a 7.012
_cell_length_b 7.012
_cell_length_c 9.954
_cell_angle_alpha 117.35
_cell_angle_beta 117.35
_cell_angle_gamma 22.36
loop_
_space_group_symop_operation_xyz
'x,y,z'
loop_
_atom_site_label
_atom_site_type_symbol
_atom_site_fract_x
_atom_site_fract_y
_atom_site_fract_z
Cu1 Cu 0.000 0.000 0.000
Cu2 Cu 0.134 0.134 0.747
Cu3 Cu 0.167 0.167 0.499
Cu4 Cu 0.470 0.470 0.745
Cu5 Cu 0.530 0.530 0.255
Cu6 Cu 0.833 0.833 0.501
Cu7 Cu 0.866 0.866 0.253
Pt1 Pt 0.196 0.196 0.256
Pt2 Pt 0.340 0.340 0.007
Pt3 Pt 0.500 0.500 0.500
Pt4 Pt 0.660 0.660 0.993
Pt5 Pt 0.804 0.804 0.744
```

Most intense lines, 2θ from 10° to 90°, by intensity:
2theta, I (rel.)
43.93, 100
41.05, 94
43.76, 89
39.87, 68
44.40, 47
26.16, 42
44.73, 39
70.70, 38
76.91, 31
21.31, 29

---

Entry 6:
The following is a simulated PXRD pattern of GaBRh4. It was derived from a DFT-relaxed cell (GGA-PBE, Alexandria), using Cu Kα, 1.54184 Å.

```
data_GaBRh4
_chemical_formula_sum 'Ga1 B1 Rh4'
_space_group_name_H-M_alt 'P 1'
_space_group_IT_number 1
_cell_length_a 4.009
_cell_length_b 4.009
_cell_length_c 5.508
_cell_angle_alpha 100.72
_cell_angle_beta 100.72
_cell_angle_gamma 90.85
loop_
_space_group_symop_operation_xyz
'x,y,z'
loop_
_atom_site_label
_atom_site_type_symbol
_atom_site_fract_x
_atom_site_fract_y
_atom_site_fract_z
Ga1 Ga 0.000 0.000 0.000
B1 B 0.398 0.398 0.564
Rh1 Rh 0.042 0.562 0.281
Rh2 Rh 0.430 0.931 0.723
Rh3 Rh 0.562 0.042 0.281
Rh4 Rh 0.931 0.430 0.723
```

Most intense lines, 2θ from 10° to 90°, by intensity:
2theta, I (rel.)
46.71, 100
31.33, 80
40.76, 70
46.16, 67
33.75, 57
41.18, 55
46.03, 44
52.30, 37
33.02, 31
52.64, 23

---

Entry 7:
The following is a simulated PXRD pattern of Pr5Nd4Sc2. It was derived from a DFT-relaxed cell (GGA-PBE, Alexandria), using Cu Kα, 1.54184 Å.

```
data_Pr5Nd4Sc2
_chemical_formula_sum 'Pr5 Nd4 Sc2'
_space_group_name_H-M_alt 'P 1'
_space_group_IT_number 1
_cell_length_a 12.211
_cell_length_b 12.211
_cell_length_c 8.765
_cell_angle_alpha 94.40
_cell_angle_beta 94.40
_cell_angle_gamma 16.78
loop_
_space_group_symop_operation_xyz
'x,y,z'
loop_
_atom_site_label
_atom_site_type_symbol
_atom_site_fract_x
_atom_site_fract_y
_atom_site_fract_z
Pr1 Pr 0.000 0.000 0.000
Pr2 Pr 0.320 0.320 0.522
Pr3 Pr 0.370 0.370 0.961
Pr4 Pr 0.630 0.630 0.039
Pr5 Pr 0.680 0.680 0.478
Nd1 Nd 0.226 0.226 0.824
Nd2 Nd 0.462 0.462 0.650
Nd3 Nd 0.538 0.538 0.350
Nd4 Nd 0.774 0.774 0.176
Sc1 Sc 0.087 0.087 0.696
Sc2 Sc 0.913 0.913 0.304
```

Most intense lines, 2θ from 10° to 90°, by intensity:
2theta, I (rel.)
30.65, 100
33.37, 99
33.81, 97
31.02, 77
27.39, 76
31.41, 75
51.07, 47
55.93, 28
60.94, 28
60.80, 27

---

Entry 8:
The following is a simulated PXRD pattern of Pr2TmPuO8. It was derived from a DFT-relaxed cell (GGA-PBE, Alexandria), using Cu Kα, 1.54184 Å.

```
data_Pr2TmPuO8
_chemical_formula_sum 'Pr2 Tm1 Pu1 O8'
_space_group_name_H-M_alt 'P 1'
_space_group_IT_number 1
_cell_length_a 4.030
_cell_length_b 5.581
_cell_length_c 7.548
_cell_angle_alpha 88.14
_cell_angle_beta 89.56
_cell_angle_gamma 83.61
loop_
_space_group_symop_operation_xyz
'x,y,z'
loop_
_atom_site_label
_atom_site_type_symbol
_atom_site_fract_x
_atom_site_fract_y
_atom_site_fract_z
Pr1 Pr 0.001 0.013 0.241
Pr2 Pr 0.999 0.987 0.759
Tm1 Tm 0.500 0.500 0.000
Pu1 Pu 0.500 0.500 0.500
O1 O 0.026 0.741 0.012
O2 O 0.077 0.713 0.504
O3 O 0.445 0.282 0.714
O4 O 0.457 0.265 0.266
O5 O 0.543 0.735 0.734
O6 O 0.555 0.718 0.286
O7 O 0.923 0.287 0.496
O8 O 0.974 0.259 0.988
```

Most intense lines, 2θ from 10° to 90°, by intensity:
2theta, I (rel.)
25.96, 100
28.19, 82
28.92, 76
29.05, 74
45.28, 61
32.54, 38
32.30, 37
32.68, 36
44.00, 34
47.90, 25

---

Entry 9:
The following is a simulated PXRD pattern of Sb4Pd3. It was derived from a DFT-relaxed cell (GGA-PBE, Alexandria), using Cu Kα, 1.54184 Å.

```
data_Sb4Pd3
_chemical_formula_sum 'Sb8 Pd6'
_space_group_name_H-M_alt 'P 1'
_space_group_IT_number 1
_cell_length_a 8.250
_cell_length_b 8.250
_cell_length_c 8.250
_cell_angle_alpha 54.88
_cell_angle_beta 54.88
_cell_angle_gamma 54.88
loop_
_space_group_symop_operation_xyz
'x,y,z'
loop_
_atom_site_label
_atom_site_type_symbol
_atom_site_fract_x
_atom_site_fract_y
_atom_site_fract_z
Sb1 Sb 0.220 0.763 0.763
Sb2 Sb 0.237 0.237 0.780
Sb3 Sb 0.237 0.780 0.237
Sb4 Sb 0.242 0.242 0.242
Sb5 Sb 0.758 0.758 0.758
Sb6 Sb 0.763 0.220 0.763
Sb7 Sb 0.763 0.763 0.220
Sb8 Sb 0.780 0.237 0.237
Pd1 Pd 0.000 0.000 0.000
Pd2 Pd 0.000 0.000 0.500
Pd3 Pd 0.000 0.500 0.000
Pd4 Pd 0.368 0.368 0.368
Pd5 Pd 0.500 0.000 0.000
Pd6 Pd 0.632 0.632 0.632
```

Most intense lines, 2θ from 10° to 90°, by intensity:
2theta, I (rel.)
32.11, 100
44.19, 74
47.85, 58
26.70, 32
28.42, 28
42.23, 21
67.16, 19
86.61, 18
73.67, 16
58.80, 15

---

Entry 10:
The following is a simulated PXRD pattern of La3Tb2Pb4. It was derived from a DFT-relaxed cell (GGA-PBE, Alexandria), using Cu Kα, 1.54184 Å.

```
data_La3Tb2Pb4
_chemical_formula_sum 'La3 Tb2 Pb4'
_space_group_name_H-M_alt 'P 1'
_space_group_IT_number 1
_cell_length_a 8.741
_cell_length_b 8.741
_cell_length_c 7.114
_cell_angle_alpha 103.97
_cell_angle_beta 103.97
_cell_angle_gamma 34.48
loop_
_space_group_symop_operation_xyz
'x,y,z'
loop_
_atom_site_label
_atom_site_type_symbol
_atom_site_fract_x
_atom_site_fract_y
_atom_site_fract_z
La1 La 0.000 0.000 0.000
La2 La 0.123 0.123 0.575
La3 La 0.877 0.877 0.425
Tb1 Tb 0.336 0.336 0.927
Tb2 Tb 0.664 0.664 0.073
Pb1 Pb 0.240 0.240 0.263
Pb2 Pb 0.495 0.495 0.714
Pb3 Pb 0.505 0.505 0.286
Pb4 Pb 0.760 0.760 0.737
```

Most intense lines, 2θ from 10° to 90°, by intensity:
2theta, I (rel.)
29.14, 100
34.62, 51
32.47, 47
32.13, 41
29.54, 38
42.13, 26
46.14, 23
44.86, 21
32.86, 19
22.01, 16

---

Entry 11:
The following is a simulated PXRD pattern of MgMo6S8. It was derived from a DFT-relaxed cell (GGA-PBE, Alexandria), using Cu Kα, 1.54184 Å.

```
data_MgMo6S8
_chemical_formula_sum 'Mg2 Mo12 S16'
_space_group_name_H-M_alt 'P 1'
_space_group_IT_number 1
_cell_length_a 6.559
_cell_length_b 6.563
_cell_length_c 13.081
_cell_angle_alpha 94.25
_cell_angle_beta 91.51
_cell_angle_gamma 95.01
loop_
_space_group_symop_operation_xyz
'x,y,z'
loop_
_atom_site_label
_atom_site_type_symbol
_atom_site_fract_x
_atom_site_fract_y
_atom_site_fract_z
Mg1 Mg 0.000 0.000 0.000
Mg2 Mg 0.151 0.754 0.526
Mo1 Mo 0.290 0.428 0.217
Mo2 Mo 0.303 0.419 0.719
Mo3 Mo 0.480 0.095 0.787
Mo4 Mo 0.482 0.099 0.286
Mo5 Mo 0.524 0.470 0.902
Mo6 Mo 0.528 0.467 0.400
Mo7 Mo 0.624 0.287 0.126
Mo8 Mo 0.628 0.284 0.624
Mo9 Mo 0.670 0.656 0.240
Mo10 Mo 0.672 0.659 0.739
Mo11 Mo 0.849 0.335 0.807
Mo12 Mo 0.862 0.327 0.308
S1 S 0.201 0.252 0.879
S2 S 0.205 0.257 0.373
S3 S 0.290 0.090 0.122
S4 S 0.293 0.083 0.622
S5 S 0.347 0.745 0.328
S6 S 0.352 0.739 0.825
S7 S 0.461 0.601 0.082
S8 S 0.468 0.601 0.580
S9 S 0.683 0.153 0.945
S10 S 0.691 0.153 0.443
S11 S 0.800 0.016 0.700
S12 S 0.805 0.010 0.198
S13 S 0.859 0.671 0.904
S14 S 0.862 0.665 0.403
S15 S 0.947 0.498 0.153
S16 S 0.951 0.502 0.647
```

Most intense lines, 2θ from 10° to 90°, by intensity:
2theta, I (rel.)
13.58, 100
45.01, 13
46.20, 9
46.36, 8
33.33, 8
41.01, 8
32.63, 8
35.43, 8
33.85, 7
39.48, 7

---

Entry 12:
The following is a simulated PXRD pattern of Dy2SbN. It was derived from a DFT-relaxed cell (GGA-PBE, Alexandria), using Cu Kα, 1.54184 Å.

```
data_Dy2SbN
_chemical_formula_sum 'Dy2 Sb1 N1'
_space_group_name_H-M_alt 'P 1'
_space_group_IT_number 1
_cell_length_a 7.747
_cell_length_b 7.747
_cell_length_c 7.747
_cell_angle_alpha 26.73
_cell_angle_beta 26.73
_cell_angle_gamma 26.73
loop_
_space_group_symop_operation_xyz
'x,y,z'
loop_
_atom_site_label
_atom_site_type_symbol
_atom_site_fract_x
_atom_site_fract_y
_atom_site_fract_z
Dy1 Dy 0.225 0.225 0.225
Dy2 Dy 0.775 0.775 0.775
Sb1 Sb 0.000 0.000 0.000
N1 N 0.500 0.500 0.500
```

Most intense lines, 2θ from 10° to 90°, by intensity:
2theta, I (rel.)
33.02, 100
35.19, 62
51.00, 39
64.06, 35
36.09, 31
29.89, 24
29.06, 23
61.58, 16
62.11, 16
43.55, 15

---

Entry 13:
The following is a simulated PXRD pattern of NaAcSO. It was derived from a DFT-relaxed cell (GGA-PBE, Alexandria), using Cu Kα, 1.54184 Å.

```
data_NaAcSO
_chemical_formula_sum 'Na1 Ac1 S1 O1'
_space_group_name_H-M_alt 'P 1'
_space_group_IT_number 1
_cell_length_a 7.148
_cell_length_b 7.148
_cell_length_c 7.148
_cell_angle_alpha 151.48
_cell_angle_beta 151.48
_cell_angle_gamma 40.78
loop_
_space_group_symop_operation_xyz
'x,y,z'
loop_
_atom_site_label
_atom_site_type_symbol
_atom_site_fract_x
_atom_site_fract_y
_atom_site_fract_z
Na1 Na 0.000 0.000 0.000
Ac1 Ac 0.743 0.743 0.000
S1 S 0.394 0.394 0.000
O1 O 0.172 0.172 0.000
```

Most intense lines, 2θ from 10° to 90°, by intensity:
2theta, I (rel.)
13.22, 100
32.37, 82
26.16, 73
36.07, 42
42.38, 34
38.57, 31
62.54, 25
26.61, 25
45.38, 24
59.06, 17